Structure and simulated powder diffraction line list of TaTiNiO6 (a structure optimized by DFT (GGA+U); Cu Kα X-rays).

Structure:
```
18
Lattice="4.7109 0.0000 0.0000 0.0000 4.7109 0.0000 0.0000 0.0000 9.0351" Properties=species:S:1:pos:R:3 pbc="T T T"
Ta 0.0000 0.0000 0.0000
Ta 2.3555 2.3555 4.5175
Ti 0.0000 0.0000 3.0011
Ti 2.3555 2.3555 7.5186
Ni 0.0000 0.0000 6.0132
Ni 2.3555 2.3555 1.4957
O 0.9011 0.9011 1.5164
O 0.9290 0.9290 4.4643
O 0.9479 0.9479 7.5633
O 1.4076 3.3033 3.0457
O 1.4265 3.2845 8.9819
O 1.4544 3.2566 6.0339
O 3.2566 1.4544 6.0339
O 3.2845 1.4265 8.9819
O 3.3033 1.4076 3.0457
O 3.7631 3.7631 7.5633
O 3.7819 3.7819 4.4643
O 3.8098 3.8098 1.5164
```

Top 6 peaks for 10 to 90 degrees two-theta, by angle:
2theta	Rel. int.
21.3	548
26.8	1000
35.4	696
38.2	194
53.0	627
67.2	194